(1)
Structure and simulated powder XRD pattern of Lu3GeB (DFT lattice parameters and positions (PBE); Cu Kα (weighted mean of Kα1 and Kα2)).

Crystal structure
a = 6.1575 Å, b = 6.1575 Å, c = 9.4432 Å
α = 90.00°, β = 90.00°, γ = 142.79°
Positions (direct):
Lu 0.0762 0.9238 0.7500
Lu 0.3662 0.6338 0.5544
Lu 0.3662 0.6338 0.9456
Lu 0.6338 0.3662 0.0544
Lu 0.6338 0.3662 0.4456
Lu 0.9238 0.0762 0.2500
Ge 0.2358 0.7642 0.2500
Ge 0.7642 0.2358 0.7500
B 0.0000 0.0000 0.0000
B 0.0000 0.0000 0.5000

Largest 10 diffraction maxima, sorted by position, 2θ from 15° to 90°:
Position (°2θ)	Rel. int.
30.59	100
32.34	85
33.79	56
36.19	17
37.41	20
37.71	21
46.22	22
57.52	23
59.26	23
60.30	15

***

(2)
Structure and simulated powder XRD pattern of ErZrSO2 (DFT lattice parameters and positions (PBE); Cu Kα (weighted mean of Kα1 and Kα2)).

Crystal structure
a = 3.7078 Å, b = 3.7078 Å, c = 6.3555 Å
α = 90.00°, β = 90.00°, γ = 120.00°
Positions (direct):
Er 0.0000 0.0000 0.0000
Zr 0.6667 0.3333 0.4281
S 0.3333 0.6667 0.7054
O 0.0000 0.0000 0.3599
O 0.6667 0.3333 0.0850

Largest 10 diffraction maxima, sorted by position, 2θ from 15° to 90°:
Position (°2θ)	Rel. int.
27.78	25
28.08	21
31.21	100
39.91	36
49.14	32
51.69	22
57.56	17
59.37	16
67.09	12
80.58	14

***

(3)
Structure and simulated powder XRD pattern of KLuTeO (DFT lattice parameters and positions (PBE); Cu Kα (weighted mean of Kα1 and Kα2)).

Crystal structure
a = 6.5210 Å, b = 7.2310 Å, c = 8.8725 Å
α = 89.81°, β = 82.00°, γ = 89.99°
Positions (direct):
K 0.1555 0.1037 0.1312
K 0.3441 0.6015 0.8682
K 0.6559 0.3985 0.1318
K 0.8445 0.8963 0.8688
Lu 0.2084 0.8660 0.4912
Lu 0.2916 0.3659 0.5085
Lu 0.7084 0.6341 0.4915
Lu 0.7916 0.1340 0.5088
Te 0.1174 0.5794 0.2450
Te 0.3826 0.0774 0.7547
Te 0.6174 0.9226 0.2453
Te 0.8826 0.4206 0.7550
O 0.1136 0.1429 0.4292
O 0.3864 0.6422 0.5706
O 0.6136 0.3578 0.4294
O 0.8864 0.8571 0.5708

Largest 10 diffraction maxima, sorted by position, 2θ from 15° to 90°:
Position (°2θ)	Rel. int.
26.00	21
28.89	20
29.43	100
30.52	28
30.79	65
32.03	22
33.84	40
34.14	21
36.12	24
36.22	24

***

(4)
Structure and simulated powder XRD pattern of ZrCo2Au (DFT lattice parameters and positions (PBE); Cu Kα (weighted mean of Kα1 and Kα2)).

Crystal structure
a = 4.4582 Å, b = 4.4582 Å, c = 4.4582 Å
α = 60.00°, β = 60.00°, γ = 60.00°
Positions (direct):
Zr 0.0000 0.0000 0.0000
Co 0.5000 0.5000 0.5000
Co 0.7500 0.7500 0.7500
Au 0.2500 0.2500 0.2500

Largest 10 diffraction maxima, sorted by position, 2θ from 15° to 90°:
Position (°2θ)	Rel. int.
24.45	27
28.31	8
40.47	100
47.85	15
58.56	16
64.41	6
66.30	3
73.60	33
78.89	5
87.53	11

***

(5)
Structure and simulated powder XRD pattern of Gd2DyMg3AgPt2 (DFT lattice parameters and positions (PBE); Cu Kα (weighted mean of Kα1 and Kα2)).

Crystal structure
a = 4.0384 Å, b = 7.5464 Å, c = 7.5464 Å
α = 119.87°, β = 90.00°, γ = 90.00°
Positions (direct):
Gd 0.0000 0.2101 0.7899
Gd 0.0000 0.7899 0.2101
Dy 0.0000 0.6297 0.6297
Mg 0.5000 0.2107 0.4624
Mg 0.5000 0.4624 0.2107
Mg 0.5000 0.9571 0.9571
Ag 0.0000 0.2112 0.2112
Pt 0.5000 0.5437 0.8747
Pt 0.5000 0.8747 0.5437

Largest 10 diffraction maxima, sorted by position, 2θ from 15° to 90°:
Position (°2θ)	Rel. int.
23.56	43
32.46	88
35.32	100
36.34	21
41.42	33
42.90	26
44.89	22
62.72	19
66.52	14
76.53	18

***

(6)
Structure and simulated powder XRD pattern of SmYB2Ir2N2 (DFT lattice parameters and positions (PBE); Cu Kα (weighted mean of Kα1 and Kα2)).

Crystal structure
a = 3.7601 Å, b = 3.7601 Å, c = 7.5148 Å
α = 90.00°, β = 90.00°, γ = 90.00°
Positions (direct):
Sm 0.0000 0.0000 0.0000
Y 0.5000 0.5000 0.6728
B 0.0000 0.0000 0.4896
B 0.5000 0.5000 0.1796
Ir 0.0000 0.5000 0.3368
Ir 0.5000 0.0000 0.3368
N 0.0000 0.0000 0.6882
N 0.5000 0.5000 0.9797

Largest 10 diffraction maxima, sorted by position, 2θ from 15° to 90°:
Position (°2θ)	Rel. int.
23.68	14
26.51	18
33.72	15
35.83	100
41.61	47
48.42	27
60.32	23
61.69	24
82.06	26
85.69	12

***

(7)
Structure and simulated powder XRD pattern of CuH5N2Cl3 (DFT lattice parameters and positions (PBE); Cu Kα (weighted mean of Kα1 and Kα2)).

Crystal structure
a = 14.4473 Å, b = 5.6756 Å, c = 6.7630 Å
α = 90.00°, β = 90.00°, γ = 90.00°
Positions (direct):
Cu 0.0453 0.2500 0.1482
Cu 0.4547 0.7500 0.6482
Cu 0.5453 0.2500 0.3518
Cu 0.9547 0.7500 0.8518
H 0.0697 0.6016 0.5828
H 0.0697 0.8984 0.5828
H 0.1682 0.5989 0.8515
H 0.1682 0.9011 0.8515
H 0.2158 0.7500 0.6575
H 0.2842 0.2500 0.1575
H 0.3318 0.0989 0.3515
H 0.3318 0.4011 0.3515
H 0.4303 0.1016 0.0828
H 0.4303 0.3984 0.0828
H 0.5697 0.6016 0.9172
H 0.5697 0.8984 0.9172
H 0.6682 0.5989 0.6485
H 0.6682 0.9011 0.6485
H 0.7158 0.7500 0.8425
H 0.7842 0.2500 0.3425
H 0.8318 0.0989 0.1485
H 0.8318 0.4011 0.1485
H 0.9303 0.1016 0.4172
H 0.9303 0.3984 0.4172
N 0.0716 0.7500 0.6723
N 0.1619 0.7500 0.7636
N 0.3381 0.2500 0.2636
N 0.4284 0.2500 0.1723
N 0.5716 0.7500 0.8277
N 0.6619 0.7500 0.7364
N 0.8381 0.2500 0.2364
N 0.9284 0.2500 0.3277
Cl 0.0417 0.7500 0.1373
Cl 0.1263 0.2500 0.4406
Cl 0.1793 0.2500 0.9592
Cl 0.3207 0.7500 0.4592
Cl 0.3737 0.7500 0.9406
Cl 0.4583 0.2500 0.6373
Cl 0.5417 0.7500 0.3627
Cl 0.6263 0.2500 0.0594
Cl 0.6793 0.2500 0.5408
Cl 0.8207 0.7500 0.0408
Cl 0.8737 0.7500 0.5594
Cl 0.9583 0.2500 0.8627

Largest 10 diffraction maxima, sorted by position, 2θ from 15° to 90°:
Position (°2θ)	Rel. int.
19.89	46
20.43	58
28.01	46
31.53	100
32.35	25
33.24	30
39.78	21
41.09	45
42.67	26
52.69	37

***

(8)
Structure and simulated powder XRD pattern of Ba3CoC3N3 (DFT lattice parameters and positions (PBE); Cu Kα (weighted mean of Kα1 and Kα2)).

Crystal structure
a = 9.0615 Å, b = 9.0615 Å, c = 5.7752 Å
α = 90.00°, β = 90.00°, γ = 120.00°
Positions (direct):
Ba 0.0693 0.3783 0.2500
Ba 0.3090 0.9307 0.2500
Ba 0.3783 0.3090 0.7500
Ba 0.6217 0.6910 0.2500
Ba 0.6910 0.0693 0.7500
Ba 0.9307 0.6217 0.7500
Co 0.3333 0.6667 0.7500
Co 0.6667 0.3333 0.2500
C 0.1546 0.4587 0.7500
C 0.3041 0.8454 0.7500
C 0.4587 0.3041 0.2500
C 0.5413 0.6959 0.7500
C 0.6959 0.1546 0.2500
C 0.8454 0.5413 0.2500
N 0.0300 0.3114 0.7500
N 0.2814 0.9700 0.7500
N 0.3114 0.2814 0.2500
N 0.6886 0.7186 0.7500
N 0.7186 0.0300 0.2500
N 0.9700 0.6886 0.2500

Largest 10 diffraction maxima, sorted by position, 2θ from 15° to 90°:
Position (°2θ)	Rel. int.
19.59	24
24.98	100
27.48	42
30.13	53
30.97	45
33.98	20
34.28	38
43.75	36
46.86	31
53.30	28

***

(9)
Structure and simulated powder XRD pattern of Te2PdAu2F2 (DFT lattice parameters and positions (PBE); Cu Kα (weighted mean of Kα1 and Kα2)).

Crystal structure
a = 4.0873 Å, b = 4.0873 Å, c = 7.4848 Å
α = 90.00°, β = 90.00°, γ = 90.00°
Positions (direct):
Te 0.0000 0.5000 0.2490
Te 0.5000 0.0000 0.7510
Pd 0.5000 0.5000 0.5000
Au 0.0000 0.5000 0.7374
Au 0.5000 0.0000 0.2626
F 0.0000 0.0000 0.0000
F 0.5000 0.5000 0.0000

Largest 10 diffraction maxima, sorted by position, 2θ from 15° to 90°:
Position (°2θ)	Rel. int.
23.78	35
24.82	17
30.94	38
39.39	100
44.32	36
48.66	13
50.91	19
58.79	12
67.92	19
78.25	27

***

(10)
Structure and simulated powder XRD pattern of Sn3Ir (DFT lattice parameters and positions (PBE); Cu Kα (weighted mean of Kα1 and Kα2)).

Crystal structure
a = 6.1511 Å, b = 6.1511 Å, c = 9.3015 Å
α = 90.04°, β = 90.04°, γ = 60.03°
Positions (direct):
Sn 0.0000 0.0000 0.0000
Sn 0.2572 0.0490 0.6859
Sn 0.3030 0.3941 0.9998
Sn 0.3474 0.0050 0.3152
Sn 0.6059 0.6970 0.0002
Sn 0.6098 0.3468 0.3144
Sn 0.6532 0.3902 0.6856
Sn 0.9510 0.7428 0.3141
Sn 0.9950 0.6526 0.6848
Ir 0.3026 0.6974 0.5000
Ir 0.6362 0.0299 0.8279
Ir 0.9701 0.3638 0.1721

Largest 10 diffraction maxima, sorted by position, 2θ from 15° to 90°:
Position (°2θ)	Rel. int.
19.20	50
25.42	61
30.61	49
35.00	100
41.35	90
46.12	30
51.46	45
57.93	21
68.05	18
82.62	20